Calculated X-ray diffraction stick pattern of K2LiDyI6 for Cu Kα (weighted mean of Kα1 and Kα2), from a cell relaxed with GGA-PBE.

Principal peaks in the range 10 to 90 degrees two-theta, low angle first:
| two_theta | I/Imax | h k l |
| --- | --- | --- |
| 12.9 | 51 | 0 1 1 |
| 15.0 | 81 | 1 1 -1 |
| 24.7 | 77 | 1 2 0 |
| 25.4 | 96 | 2 1 -1 |
| 25.6 | 100 | 1 0 -4 |
| 25.9 | 80 | 0 2 2 |
| 30.3 | 89 | 2 2 -2 |
| 30.9 | 55 | 0 0 4 |
| 33.3 | 53 | 1 3 -1 |
| 45.8 | 58 | 1 2 4 |

Cell and atoms:
Cell: 8.1390 8.5497 14.1067 Å, 90.00 124.73 90.00°
Space group P2_1/c (No. 14)
Inequivalent atoms, fractional coordinates:
K 0.2190 0.0833 0.2473 x4
Li 0.0000 0.0000 0.5000 x2
Dy 0.5000 0.0000 0.0000 x2
I 0.1449 0.1952 0.9490 x4
I 0.2607 0.7002 0.9512 x4
I 0.3494 0.0183 0.7475 x4